# Ba2PrUAs4
Theoretical X-ray powder pattern, Cu Kα, 1.54184 Å. Input: a GGA-PBE-relaxed structure.
Peak positions follow from Bragg's law for the DFT cell and can differ from measured ones.

Cell and atoms:
```
data_Ba2PrUAs4
_space_group_name_H-M_alt 'P 1 2/m 1'
_space_group_IT_number 10
_cell_length_a 7.579
_cell_length_b 4.409
_cell_length_c 7.906
_cell_angle_alpha 90.00
_cell_angle_beta 108.72
_cell_angle_gamma 90.00
loop_
_space_group_symop_operation_xyz
'x,y,z'
'-x,-y,-z'
'-x,y,-z'
'x,-y,z'
loop_
_atom_site_label
_atom_site_type_symbol
_atom_site_fract_x
_atom_site_fract_y
_atom_site_fract_z
_atom_site_occupancy
Ba1 Ba 0.000 0.000 0.000 1
Ba2 Ba 0.500 0.500 0.000 1
Pr1 Pr 0.000 0.500 0.500 1
U1 U 0.500 0.000 0.500 1
As1 As 0.257 0.000 0.709 1
As2 As 0.281 0.500 0.298 1
```

Top 10 peaks for 10 to 90 degrees two-theta, low angle first:
11.82°, intensity 10, (0 0 1)
23.76°, intensity 9, (0 0 2)
24.66°, intensity 12, (1 1 -1)
28.34°, intensity 100, (1 1 1)
39.86°, intensity 23, (1 1 -3)
39.99°, intensity 12, (2 0 2)
40.94°, intensity 13, (0 2 0)
41.18°, intensity 25, (3 1 -1)
50.57°, intensity 13, (2 2 -2)
65.58°, intensity 9, (3 1 3)

=====

# CeTiBe4
Theoretical X-ray powder pattern, Cu Kα, 1.54184 Å. Input: a GGA-PBE-relaxed structure.
Peak positions follow from Bragg's law for the DFT cell and can differ from measured ones.

Cell and atoms:
```
data_CeTiBe4
_space_group_name_H-M_alt 'F -4 3 m'
_space_group_IT_number 216
_space_group_name_Hall 'F -4 2 3'
_cell_length_a 6.770
_cell_length_b 6.770
_cell_length_c 6.770
_cell_angle_alpha 90.00
_cell_angle_beta 90.00
_cell_angle_gamma 90.00
loop_
_atom_site_label
_atom_site_type_symbol
_atom_site_fract_x
_atom_site_fract_y
_atom_site_fract_z
_atom_site_occupancy
Ce1 Ce 0.000 0.000 0.000 1
Ti1 Ti 0.250 0.250 0.750 1
Be1 Be 0.122 0.122 0.378 1
```

Top 10 peaks for 10 to 90 degrees two-theta, low angle first:
22.75°, intensity 100, (1 1 1)
26.33°, intensity 24, (2 0 0)
37.58°, intensity 78, (2 2 0)
44.38°, intensity 70, (3 1 1)
54.19°, intensity 10, (4 0 0)
59.52°, intensity 22, (3 3 1)
67.81°, intensity 26, (4 2 2)
72.55°, intensity 21, (5 1 1)
80.20°, intensity 10, (4 4 0)
84.70°, intensity 16, (5 3 1)

=====

# PrIn2F11
Theoretical X-ray powder pattern, Cu Kα, 1.54184 Å. Input: a GGA-PBE-relaxed structure.
Peak positions follow from Bragg's law for the DFT cell and can differ from measured ones.

Cell and atoms:
```
data_PrIn2F11
_space_group_name_H-M_alt 'I b a m'
_space_group_IT_number 72
_space_group_name_Hall '-I 2 2c'
_cell_length_a 8.141
_cell_length_b 10.263
_cell_length_c 11.312
_cell_angle_alpha 90.00
_cell_angle_beta 90.00
_cell_angle_gamma 90.00
loop_
_atom_site_label
_atom_site_type_symbol
_atom_site_fract_x
_atom_site_fract_y
_atom_site_fract_z
_atom_site_occupancy
Pr1 Pr 0.000 0.000 0.250 1
In1 In 0.164 0.308 0.000 1
F1 F 0.000 0.500 0.000 1
F2 F 0.104 0.307 0.500 1
F3 F 0.108 0.176 0.137 1
F4 F 0.220 0.080 0.371 1
```

Top 10 peaks for 10 to 90 degrees two-theta, low angle first:
13.88°, intensity 31, (1 1 0)
20.99°, intensity 100, (1 1 2)
21.93°, intensity 34, (1 2 1)
23.41°, intensity 81, (0 2 2)
24.81°, intensity 50, (2 1 1)
26.99°, intensity 26, (2 0 2)
42.74°, intensity 25, (2 2 4)
42.96°, intensity 30, (1 3 4)
45.58°, intensity 38, (3 3 2)
48.49°, intensity 21, (1 5 2)

=====

# Rb2PmTe6
Theoretical X-ray powder pattern, Cu Kα, 1.54184 Å. Input: a GGA-PBE-relaxed structure.
Peak positions follow from Bragg's law for the DFT cell and can differ from measured ones.

Cell and atoms:
```
data_Rb2PmTe6
_space_group_name_H-M_alt 'C 1 2/m 1'
_space_group_IT_number 12
_cell_length_a 14.235
_cell_length_b 9.443
_cell_length_c 5.688
_cell_angle_alpha 90.00
_cell_angle_beta 93.62
_cell_angle_gamma 90.00
loop_
_space_group_symop_operation_xyz
'x,y,z'
'-x,-y,-z'
'-x,y,-z'
'x,-y,z'
'x+1/2,y+1/2,z'
'-x+1/2,-y+1/2,-z'
'-x+1/2,y+1/2,-z'
'x+1/2,-y+1/2,z'
loop_
_atom_site_label
_atom_site_type_symbol
_atom_site_fract_x
_atom_site_fract_y
_atom_site_fract_z
_atom_site_occupancy
Rb1 Rb 0.166 0.000 0.377 1
Pm1 Pm 0.000 0.500 0.000 1
Te1 Te 0.000 0.317 0.500 1
Te2 Te 0.154 0.263 0.873 1
```

Top 10 peaks for 10 to 90 degrees two-theta, low angle first:
11.25°, intensity 30, (1 1 0)
18.79°, intensity 16, (0 2 0)
19.39°, intensity 20, (2 0 -1)
19.60°, intensity 16, (1 1 1)
20.99°, intensity 32, (3 1 0)
27.13°, intensity 100, (2 2 -1)
34.77°, intensity 31, (2 0 2)
36.09°, intensity 51, (4 2 1)
38.00°, intensity 24, (6 0 0)
39.37°, intensity 17, (4 0 -2)